Record 1
This entry pairs a crystal structure of HoTlF6 with its theoretical powder diffractogram. Radiation: Cu Ka. Structure: a PBE-relaxed structure.
Peak positions follow from Bragg's law for the DFT cell and can differ from measured ones.

Peak list (6 most intense, 2θ from 15° to 90°, sorted by position)
two_theta  I/Imax
20.27  49
25.12  100
32.12  32
41.20  27
47.71  39
53.18  27

Structural model:
a b c (Å): 5.5735 5.5735 10.4517
angles (deg): 90.00 90.00 120.00
Sites, in units of the cell vectors:
Ho  0.3333  0.6667  0.2500
Ho  0.6667  0.3333  0.7500
Tl  0.0000  0.0000  0.0000
Tl  0.0000  0.0000  0.5000
F  0.0421  0.3352  0.1249
F  0.0421  0.7069  0.3751
F  0.2931  0.3352  0.3751
F  0.2931  0.9579  0.1249
F  0.3352  0.0421  0.6249
F  0.3352  0.2931  0.8751
F  0.6648  0.7069  0.1249
F  0.6648  0.9579  0.3751
F  0.7069  0.0421  0.8751
F  0.7069  0.6648  0.6249
F  0.9579  0.2931  0.6249
F  0.9579  0.6648  0.8751

***

Record 2
This entry pairs a crystal structure of HoTl2Zn3F12 with its theoretical powder diffractogram. Radiation: Cu Ka. Structure: a PBE-relaxed structure.
Peak positions follow from Bragg's law for the DFT cell and can differ from measured ones.

Peak list (6 most intense, 2θ from 15° to 90°, sorted by position)
two_theta  I/Imax
23.52  100
27.83  57
29.24  90
31.88  65
46.92  63
48.11  57

Structural model:
a b c (Å): 6.7735 6.7735 6.7735
angles (deg): 67.89 67.89 67.89
Sites, in units of the cell vectors:
Ho  0.0000  0.0000  0.0000
Tl  0.3926  0.3926  0.3926
Tl  0.6074  0.6074  0.6074
Zn  0.0000  0.0000  0.5000
Zn  0.0000  0.5000  0.0000
Zn  0.5000  0.0000  0.0000
F  0.1085  0.7560  0.7560
F  0.1522  0.1522  0.5822
F  0.1522  0.5822  0.1522
F  0.2440  0.2440  0.8915
F  0.2440  0.8915  0.2440
F  0.4178  0.8478  0.8478
F  0.5822  0.1522  0.1522
F  0.7560  0.1085  0.7560
F  0.7560  0.7560  0.1085
F  0.8478  0.4178  0.8478
F  0.8478  0.8478  0.4178
F  0.8915  0.2440  0.2440

***

Record 3
This entry pairs a crystal structure of HoTm2F8 with its theoretical powder diffractogram. Radiation: Cu Ka. Structure: a PBE-relaxed structure.
Peak positions follow from Bragg's law for the DFT cell and can differ from measured ones.

Peak list (6 most intense, 2θ from 15° to 90°, sorted by position)
two_theta  I/Imax
24.44  100
25.06  73
43.02  23
43.40  34
44.52  21
50.09  24

Structural model:
a b c (Å): 7.2840 7.2840 4.3004
angles (deg): 90.00 90.00 120.00
Sites, in units of the cell vectors:
Ho  0.0000  0.0000  0.0000
Tm  0.3333  0.6667  0.2087
Tm  0.6667  0.3333  0.7913
F  0.1690  0.3380  0.1937
F  0.1690  0.8310  0.1937
F  0.3333  0.6667  0.7055
F  0.3380  0.1690  0.8063
F  0.6620  0.8310  0.1937
F  0.6667  0.3333  0.2945
F  0.8310  0.1690  0.8063
F  0.8310  0.6620  0.8063

***

Record 4
This entry pairs a crystal structure of HoTm2F11 with its theoretical powder diffractogram. Radiation: Cu Ka. Structure: a PBE-relaxed structure.
Peak positions follow from Bragg's law for the DFT cell and can differ from measured ones.

Peak list (6 most intense, 2θ from 15° to 90°, sorted by position)
two_theta  I/Imax
21.34  100
22.19  47
23.93  87
24.75  73
45.78  54
47.75  42

Structural model:
a b c (Å): 8.5206 8.5206 8.5206
angles (deg): 122.32 107.34 99.63
Sites, in units of the cell vectors:
Ho  0.2500  0.2500  0.0000
Ho  0.7500  0.7500  0.0000
Tm  0.1891  0.6578  0.8468
Tm  0.3109  0.1578  0.4687
Tm  0.6891  0.8422  0.5313
Tm  0.8109  0.3422  0.1532
F  0.0000  0.5000  0.5000
F  0.0290  0.9601  0.2740
F  0.0571  0.3420  0.1320
F  0.1861  0.4601  0.9312
F  0.1966  0.3898  0.5864
F  0.2100  0.9251  0.8680
F  0.2900  0.1580  0.7150
F  0.3034  0.8898  0.1931
F  0.3139  0.2451  0.2740
F  0.4429  0.5749  0.2850
F  0.4710  0.7451  0.9312
F  0.5000  0.0000  0.5000
F  0.5290  0.2549  0.0688
F  0.5571  0.4251  0.7150
F  0.6861  0.7549  0.7260
F  0.6966  0.1102  0.8069
F  0.7100  0.8420  0.2850
F  0.7900  0.0749  0.1320
F  0.8034  0.6102  0.4136
F  0.8139  0.5399  0.0688
F  0.9429  0.6580  0.8680
F  0.9710  0.0399  0.7260

***

Record 5
This entry pairs a crystal structure of Ho2TmF11 with its theoretical powder diffractogram. Radiation: Cu Ka. Structure: a PBE-relaxed structure.
Peak positions follow from Bragg's law for the DFT cell and can differ from measured ones.

Peak list (6 most intense, 2θ from 15° to 90°, sorted by position)
two_theta  I/Imax
21.33  100
22.09  43
23.92  84
24.57  66
43.94  29
45.50  45

Structural model:
a b c (Å): 8.5368 8.5368 8.5368
angles (deg): 121.85 107.14 100.23
Sites, in units of the cell vectors:
Ho  0.1898  0.1600  0.3498
Ho  0.3102  0.6600  0.9702
Ho  0.6898  0.3400  0.0298
Ho  0.8102  0.8400  0.6502
Tm  0.2500  0.7500  0.5000
Tm  0.7500  0.2500  0.5000
F  0.0000  0.0000  0.0000
F  0.0252  0.4565  0.7698
F  0.0595  0.8395  0.6291
F  0.1867  0.9565  0.4313
F  0.1941  0.8908  0.0849
F  0.2104  0.4304  0.3709
F  0.2896  0.6605  0.2201
F  0.3059  0.3908  0.6968
F  0.3133  0.7446  0.7698
F  0.4405  0.0696  0.7799
F  0.4748  0.2446  0.4313
F  0.5000  0.5000  0.0000
F  0.5252  0.7554  0.5687
F  0.5595  0.9304  0.2201
F  0.6867  0.2554  0.2302
F  0.6941  0.6092  0.3032
F  0.7104  0.3395  0.7799
F  0.7896  0.5696  0.6291
F  0.8059  0.1092  0.9151
F  0.8133  0.0435  0.5687
F  0.9405  0.1605  0.3709
F  0.9748  0.5435  0.2302

***

Record 6
This entry pairs a crystal structure of YHo2F11 with its theoretical powder diffractogram. Radiation: Cu Ka. Structure: a PBE-relaxed structure.
Peak positions follow from Bragg's law for the DFT cell and can differ from measured ones.

Peak list (6 most intense, 2θ from 15° to 90°, sorted by position)
two_theta  I/Imax
15.94  68
21.10  80
21.95  65
23.68  85
24.45  100
45.22  59

Structural model:
a b c (Å): 8.6162 8.6162 8.6162
angles (deg): 122.23 107.45 99.60
Sites, in units of the cell vectors:
Y  0.2500  0.2500  0.0000
Y  0.7500  0.7500  0.0000
Ho  0.1894  0.6588  0.8482
Ho  0.3106  0.1588  0.4694
Ho  0.6894  0.8412  0.5306
Ho  0.8106  0.3412  0.1518
F  0.0000  0.5000  0.5000
F  0.0284  0.9598  0.2734
F  0.0571  0.3408  0.1306
F  0.1864  0.4598  0.9314
F  0.1949  0.3905  0.5854
F  0.2102  0.9265  0.8694
F  0.2898  0.1592  0.7163
F  0.3051  0.8905  0.1957
F  0.3136  0.2450  0.2734
F  0.4429  0.5735  0.2837
F  0.4716  0.7450  0.9314
F  0.5000  0.0000  0.5000
F  0.5284  0.2550  0.0686
F  0.5571  0.4265  0.7163
F  0.6864  0.7550  0.7266
F  0.6949  0.1095  0.8043
F  0.7102  0.8408  0.2837
F  0.7898  0.0735  0.1306
F  0.8051  0.6095  0.4146
F  0.8136  0.5402  0.0686
F  0.9429  0.6592  0.8694
F  0.9716  0.0402  0.7266